No. 1
Diffraction record for Ba3WN3. The PXRD pattern is calculated, not measured: it uses a crystal structure in the Materials Project, relaxed with GGA-PBE and Cu Kα (weighted mean of Kα1 and Kα2).
Intensities are scaled so that the largest is 100.

Main lines, by angle (5° ≤ 2θ ≤ 70°):
| 2θ (°) | Rel. int. |
| --- | --- |
| 12.07 | 20.1 |
| 24.28 | 22.5 |
| 26.25 | 47.7 |
| 28.99 | 100.0 |
| 31.48 | 38.0 |
| 32.31 | 26.3 |
| 36.06 | 17.9 |
| 36.78 | 18.4 |
| 45.74 | 21.7 |
| 54.53 | 22.5 |
| 57.12 | 21.5 |
| 65.76 | 18.8 |

Crystal structure
```
data_Ba3WN3
_chemical_formula_sum 'Ba6 W2 N6'
_space_group_name_H-M_alt 'P 63/m'
_space_group_IT_number 176
_space_group_name_Hall '-P 6c'
_cell_length_a 8.4645
_cell_length_b 8.4645
_cell_length_c 5.6841
_cell_angle_alpha 90.00
_cell_angle_beta 90.00
_cell_angle_gamma 120.00
loop_
_atom_site_label
_atom_site_type_symbol
_atom_site_fract_x
_atom_site_fract_y
_atom_site_fract_z
Ba1 Ba 0.0936 0.3580 0.2500
W1 W 0.3333 0.6667 0.7500
N1 N 0.1250 0.4352 0.7500
```

No. 2
Diffraction record for TbPO4. The PXRD pattern is calculated, not measured: it uses a crystal structure in the Materials Project, relaxed with GGA-PBE and Cu Kα (weighted mean of Kα1 and Kα2).
Intensities are scaled so that the largest is 100.

Main lines, by angle (5° ≤ 2θ ≤ 70°):
| 2θ (°) | Rel. int. |
| --- | --- |
| 19.34 | 57.2 |
| 25.47 | 100.0 |
| 32.18 | 25.4 |
| 34.62 | 66.1 |
| 36.33 | 21.2 |
| 41.48 | 21.3 |
| 46.64 | 13.4 |
| 49.31 | 21.2 |
| 51.06 | 53.5 |
| 52.32 | 14.1 |
| 59.07 | 12.2 |
| 64.27 | 15.5 |

Crystal structure
```
data_TbPO4
_chemical_formula_sum 'Tb4 P4 O16'
_space_group_name_H-M_alt 'I 41/a m d'
_space_group_IT_number 141
_cell_length_a 6.9943
_cell_length_b 6.9943
_cell_length_c 6.0834
_cell_angle_alpha 90.00
_cell_angle_beta 90.00
_cell_angle_gamma 90.00
loop_
_space_group_symop_operation_xyz
'x,y,z'
'-x,-y,-z'
'-y+1/4,x+3/4,z+1/4'
'y+1/4,-x+3/4,-z+1/4'
'-x+1/2,-y,z+1/2'
'x+1/2,y,-z+1/2'
'y+1/4,-x+1/4,z+3/4'
'-y+1/4,x+1/4,-z+3/4'
'x,-y,-z'
'-x,y,z'
'-y+1/4,-x+1/4,-z+3/4'
'y+1/4,x+1/4,z+3/4'
'-x+1/2,y,-z+1/2'
'x+1/2,-y,z+1/2'
'y+1/4,x+3/4,-z+1/4'
'-y+1/4,-x+3/4,z+1/4'
'x+1/2,y+1/2,z+1/2'
'-x+1/2,-y+1/2,-z+1/2'
'-y+3/4,x+1/4,z+3/4'
'y+3/4,-x+1/4,-z+3/4'
'-x,-y+1/2,z'
'x,y+1/2,-z'
'y+3/4,-x+3/4,z+1/4'
'-y+3/4,x+3/4,-z+1/4'
'x+1/2,-y+1/2,-z+1/2'
'-x+1/2,y+1/2,z+1/2'
'-y+3/4,-x+3/4,-z+1/4'
'y+3/4,x+3/4,z+1/4'
'-x,y+1/2,-z'
'x,-y+1/2,z'
'y+3/4,x+1/4,-z+3/4'
'-y+3/4,-x+1/4,z+3/4'
loop_
_atom_site_label
_atom_site_type_symbol
_atom_site_fract_x
_atom_site_fract_y
_atom_site_fract_z
Tb1 Tb 0.0000 0.2500 0.3750
P1 P 0.0000 0.2500 0.8750
O1 O 0.0000 0.0762 0.7156
```

No. 3
Diffraction record for MgTe4MoW3Se2S2. The PXRD pattern is calculated, not measured: it uses a crystal structure in the Materials Project, relaxed with GGA-PBE and Cu Kα (weighted mean of Kα1 and Kα2).
Intensities are scaled so that the largest is 100.

Main lines, by angle (5° ≤ 2θ ≤ 70°):
| 2θ (°) | Rel. int. |
| --- | --- |
| 5.58 | 82.9 |
| 7.45 | 6.5 |
| 9.31 | 100.0 |
| 11.18 | 14.5 |
| 30.44 | 15.5 |
| 31.89 | 10.4 |
| 34.05 | 23.6 |
| 37.02 | 17.5 |
| 39.36 | 29.5 |
| 40.63 | 7.2 |
| 54.08 | 14.3 |
| 55.00 | 7.4 |

Crystal structure
```
data_MgTe4MoW3Se2S2
_chemical_formula_sum 'Mg1 Te4 Mo1 W3 Se2 S2'
_space_group_name_H-M_alt 'P 3 m 1'
_space_group_IT_number 156
_space_group_name_Hall 'P 3 -2"'
_cell_length_a 3.3920
_cell_length_b 3.3920
_cell_length_c 47.4830
_cell_angle_alpha 90.00
_cell_angle_beta 90.00
_cell_angle_gamma 120.00
loop_
_atom_site_label
_atom_site_type_symbol
_atom_site_fract_x
_atom_site_fract_y
_atom_site_fract_z
Mg1 Mg 0.0000 0.0000 0.0000
Te1 Te 0.3333 0.6667 0.0641
Te2 Te 0.3333 0.6667 0.1438
Te3 Te 0.3333 0.6667 0.4322
Te4 Te 0.3333 0.6667 0.5117
Mo1 Mo 0.3333 0.6667 0.2841
W1 W 0.3333 0.6667 0.8991
W2 W 0.6667 0.3333 0.1041
W3 W 0.6667 0.3333 0.4719
Se1 Se 0.6667 0.3333 0.8642
Se2 Se 0.6667 0.3333 0.9342
S1 S 0.6667 0.3333 0.2526
S2 S 0.6667 0.3333 0.3157
```

No. 4
Diffraction record for LiTi8O16. The PXRD pattern is calculated, not measured: it uses a crystal structure in the Materials Project, relaxed with GGA-PBE and Cu Kα (weighted mean of Kα1 and Kα2).
Intensities are scaled so that the largest is 100.

Main lines, by angle (5° ≤ 2θ ≤ 70°):
| 2θ (°) | Rel. int. |
| --- | --- |
| 24.95 | 99.8 |
| 25.10 | 100.0 |
| 25.30 | 21.7 |
| 25.42 | 34.7 |
| 29.98 | 21.2 |
| 30.11 | 31.5 |
| 30.47 | 38.2 |
| 30.64 | 33.3 |
| 35.17 | 24.1 |
| 36.63 | 24.0 |
| 47.74 | 21.5 |
| 62.59 | 21.6 |

Crystal structure
```
data_LiTi8O16
_chemical_formula_sum 'Li1 Ti8 O16'
_space_group_name_H-M_alt 'P -1'
_space_group_IT_number 2
_space_group_name_Hall '-P 1'
_cell_length_a 5.2736
_cell_length_b 5.5428
_cell_length_c 9.2875
_cell_angle_alpha 90.42
_cell_angle_beta 91.33
_cell_angle_gamma 90.07
loop_
_atom_site_label
_atom_site_type_symbol
_atom_site_fract_x
_atom_site_fract_y
_atom_site_fract_z
Li1 Li 0.0000 0.0000 0.0000
Ti1 Ti 0.1281 0.1007 0.3706
Ti2 Ti 0.1317 0.5836 0.1334
Ti3 Ti 0.3616 0.6070 0.6217
Ti4 Ti 0.3964 0.1086 0.8611
O1 O 0.0387 0.0978 0.7781
O2 O 0.0439 0.6043 0.7289
O3 O 0.1714 0.3383 0.9957
O4 O 0.1783 0.8474 0.5077
O5 O 0.3197 0.3494 0.4892
O6 O 0.3202 0.8466 0.0081
O7 O 0.4557 0.1082 0.2712
O8 O 0.4615 0.6061 0.2304
```

No. 5
Diffraction record for DyTiFe5Co6. The PXRD pattern is calculated, not measured: it uses a crystal structure in the Materials Project, relaxed with GGA-PBE and Cu Kα (weighted mean of Kα1 and Kα2).
Intensities are scaled so that the largest is 100.

Main lines, by angle (5° ≤ 2θ ≤ 70°):
| 2θ (°) | Rel. int. |
| --- | --- |
| 30.38 | 23.9 |
| 30.48 | 22.0 |
| 37.18 | 27.6 |
| 37.45 | 24.0 |
| 38.40 | 19.5 |
| 42.71 | 32.5 |
| 43.16 | 100.0 |
| 43.31 | 52.2 |
| 44.16 | 37.0 |
| 44.26 | 40.9 |
| 49.47 | 27.2 |
| 62.33 | 12.3 |

Crystal structure
```
data_DyTiFe5Co6
_chemical_formula_sum 'Dy2 Ti2 Fe10 Co12'
_space_group_name_H-M_alt 'I m m 2'
_space_group_IT_number 44
_space_group_name_Hall 'I 2 -2'
_cell_length_a 4.6882
_cell_length_b 8.4679
_cell_length_c 8.3897
_cell_angle_alpha 90.00
_cell_angle_beta 90.00
_cell_angle_gamma 90.00
loop_
_atom_site_label
_atom_site_type_symbol
_atom_site_fract_x
_atom_site_fract_y
_atom_site_fract_z
Dy1 Dy 0.0000 0.0000 0.0000
Ti1 Ti 0.0000 0.0000 0.6217
Fe1 Fe 0.0000 0.5000 0.7263
Fe2 Fe 0.2490 0.2500 0.2498
Co1 Co 0.0000 0.0000 0.3460
Co2 Co 0.0000 0.2784 0.4991
Co3 Co 0.0000 0.3571 0.9965
Co4 Co 0.0000 0.5000 0.2729
```

No. 6
Diffraction record for La2ThTaCl3O6. The PXRD pattern is calculated, not measured: it uses a crystal structure in the Materials Project, relaxed with GGA-PBE and Cu Kα (weighted mean of Kα1 and Kα2).
Intensities are scaled so that the largest is 100.

Main lines, by angle (5° ≤ 2θ ≤ 70°):
| 2θ (°) | Rel. int. |
| --- | --- |
| 10.78 | 69.0 |
| 24.86 | 68.5 |
| 24.95 | 28.4 |
| 27.16 | 56.0 |
| 27.30 | 21.3 |
| 29.00 | 27.3 |
| 32.67 | 55.5 |
| 33.19 | 100.0 |
| 33.40 | 57.0 |
| 44.08 | 36.1 |
| 44.23 | 34.9 |
| 51.61 | 30.3 |

Crystal structure
```
data_La2ThTaCl3O6
_chemical_formula_sum 'La4 Th2 Ta2 Cl6 O12'
_space_group_name_H-M_alt 'P 1 m 1'
_space_group_IT_number 6
_space_group_name_Hall 'P -2y'
_cell_length_a 9.4043
_cell_length_b 5.4837
_cell_length_c 9.4356
_cell_angle_alpha 90.00
_cell_angle_beta 119.45
_cell_angle_gamma 90.00
loop_
_atom_site_label
_atom_site_type_symbol
_atom_site_fract_x
_atom_site_fract_y
_atom_site_fract_z
La1 La 0.0000 0.0000 0.0000
La2 La 0.0862 0.5000 0.3937
La3 La 0.3612 0.5000 0.1720
La4 La 0.5869 0.5000 0.6775
Th1 Th 0.2635 0.0000 0.7575
Th2 Th 0.7620 0.0000 0.4972
Ta1 Ta 0.0135 0.5000 0.7502
Ta2 Ta 0.3450 0.0000 0.4176
Cl1 Cl 0.4370 0.5000 0.8923
Cl2 Cl 0.4910 0.0000 0.1313
Cl3 Cl 0.6248 0.0000 0.8447
Cl4 Cl 0.7320 0.5000 0.3270
Cl5 Cl 0.8675 0.5000 0.0291
Cl6 Cl 0.9131 0.0000 0.2758
O1 O 0.0442 0.2591 0.6061
O2 O 0.1582 0.2610 0.9199
O3 O 0.2024 0.2361 0.2452
O4 O 0.3134 0.2314 0.5660
O5 O 0.5260 0.2309 0.4491
O6 O 0.8342 0.2621 0.7128
```

No. 7
Diffraction record for MgGaMoS4. The PXRD pattern is calculated, not measured: it uses a crystal structure in the Materials Project, relaxed with GGA-PBE and Cu Kα (weighted mean of Kα1 and Kα2).
Intensities are scaled so that the largest is 100.

Main lines, by angle (5° ≤ 2θ ≤ 70°):
| 2θ (°) | Rel. int. |
| --- | --- |
| 14.62 | 35.2 |
| 14.72 | 64.8 |
| 28.23 | 48.6 |
| 28.35 | 41.2 |
| 34.29 | 100.0 |
| 44.94 | 13.5 |
| 45.04 | 15.0 |
| 45.13 | 19.8 |
| 49.01 | 15.6 |
| 49.28 | 61.0 |
| 49.55 | 15.0 |
| 61.18 | 10.4 |

Crystal structure
```
data_MgGaMoS4
_chemical_formula_sum 'Mg4 Ga4 Mo4 S16'
_space_group_name_H-M_alt 'I m m a'
_space_group_IT_number 74
_space_group_name_Hall '-I 2b 2'
_cell_length_a 7.3591
_cell_length_b 7.4348
_cell_length_c 10.4599
_cell_angle_alpha 90.00
_cell_angle_beta 90.00
_cell_angle_gamma 90.00
loop_
_atom_site_label
_atom_site_type_symbol
_atom_site_fract_x
_atom_site_fract_y
_atom_site_fract_z
Mg1 Mg 0.0000 0.2500 0.1258
Ga1 Ga 0.2500 0.2500 0.7500
Mo1 Mo 0.0000 0.0000 0.5000
S1 S 0.0000 0.0224 0.7386
S2 S 0.2276 0.2500 0.5119
```